Record 1
This entry pairs a crystal structure of MgHSe with its calculated powder diffractogram. Radiation: CuKα. Structure: a crystal structure in Alexandria, relaxed with PBE.
Lines closer than 0.1° are merged.

The 10 most intense peaks (2θ = 5–70°), by angle:
25.70 deg, intensity 48, (0 0 2)
25.99 deg, intensity 37, (2 0 0)
26.53 deg, intensity 100, (1 1 -1)
27.99 deg, intensity 48, (2 0 -2)
31.45 deg, intensity 71, (1 1 1)
40.70 deg, intensity 22, (1 1 2)
42.41 deg, intensity 43, (1 1 -3)
42.78 deg, intensity 39, (3 1 -1)
45.90 deg, intensity 39, (0 2 0)
48.64 deg, intensity 20, (3 1 -3)

Structural model:
Cell lengths 7.538, 3.953, 7.621 Å; angles 90.00, 114.55, 90.00 degrees
Space group Cm (No. 8)
Symmetry-distinct sites (fractional):
Mg: 0.000 0.000 0.000 (multiplicity 2)
Mg: 0.066 0.000 0.472 (multiplicity 2)
H: 0.055 0.500 0.833 (multiplicity 2)
H: 0.138 0.500 0.935 (multiplicity 2)
Se: 0.316 0.500 0.626 (multiplicity 2)
Se: 0.387 0.000 0.171 (multiplicity 2)



Record 2
This entry pairs a crystal structure of MgSi3H12 with its calculated powder diffractogram. Radiation: CuKα. Structure: a crystal structure in Alexandria, relaxed with PBE.
Lines closer than 0.1° are merged.

The 10 most intense peaks (2θ = 5–70°), by angle:
24.52 deg, intensity 68, (1 1 3)
25.59 deg, intensity 100, (2 0 2)
25.81 deg, intensity 44, (0 0 6)
29.69 deg, intensity 58, (0 2 4)
32.33 deg, intensity 20, (2 1 1)
36.47 deg, intensity 12, (3 0 0)
42.63 deg, intensity 16, (2 0 8)
44.40 deg, intensity 20, (1 3 1)
49.61 deg, intensity 16, (3 1 5)
54.44 deg, intensity 12, (1 3 7)

Structural model:
Cell lengths 8.5370, 8.5370, 20.7132 Å; angles 90.00, 90.00, 120.00 degrees
Space group R3c (No. 161, hexagonal axes)
Symmetry-distinct sites (fractional):
Mg: 0.0000 0.0000 0.0000 (multiplicity 6)
Si: 0.0986 0.3448 0.3593 (multiplicity 18)
H: 0.0137 0.2015 0.6403 (multiplicity 18)
H: 0.0253 0.3904 0.4174 (multiplicity 18)
H: 0.0807 0.3533 0.8766 (multiplicity 18)
H: 0.1739 0.4727 0.0035 (multiplicity 18)



Record 3
This entry pairs a crystal structure of Mg3Sn2H with its calculated powder diffractogram. Radiation: CuKα. Structure: a crystal structure in Alexandria, relaxed with PBE.
Lines closer than 0.1° are merged.

The 10 most intense peaks (2θ = 5–70°), by angle:
13.94 deg, intensity 84, (2 0 0)
16.86 deg, intensity 30, (1 1 0)
22.97 deg, intensity 30, (1 1 1)
26.09 deg, intensity 49, (3 1 0)
30.67 deg, intensity 32, (1 1 -2)
32.25 deg, intensity 41, (3 1 1)
33.54 deg, intensity 63, (4 0 -2)
34.11 deg, intensity 76, (1 1 2)
35.33 deg, intensity 100, (2 2 -1)
38.72 deg, intensity 42, (5 1 0)

Structural model:
Cell lengths 13.227, 5.776, 6.755 Å; angles 90.00, 106.17, 90.00 degrees
Space group C2/c (No. 15)
Symmetry-distinct sites (fractional):
Mg: 0.000 0.114 0.250 (multiplicity 4)
Mg: 0.120 0.403 0.963 (multiplicity 8)
Sn: 0.183 0.098 0.632 (multiplicity 8)
H: 0.000 0.460 0.250 (multiplicity 4)



Record 4
This entry pairs a crystal structure of Mg6Sn3H with its calculated powder diffractogram. Radiation: CuKα. Structure: a crystal structure in Alexandria, relaxed with PBE.
Lines closer than 0.1° are merged.

The 10 most intense peaks (2θ = 5–70°), by angle:
21.07 deg, intensity 65, (0 2 1)
22.63 deg, intensity 24, (0 4 0)
25.30 deg, intensity 25, (3 1 0)
30.05 deg, intensity 18, (3 3 0)
31.08 deg, intensity 21, (3 1 1)
35.12 deg, intensity 100, (3 3 1)
35.95 deg, intensity 30, (0 0 2)
38.82 deg, intensity 30, (0 6 1)
50.52 deg, intensity 19, (6 0 0)
64.09 deg, intensity 18, (3 3 3)

Structural model:
Cell lengths 10.835, 15.714, 4.996 Å; angles 90.00, 90.00, 90.00 degrees
Space group Cmc2_1 (No. 36)
Symmetry-distinct sites (fractional):
Mg: 0.000 0.060 0.000 (multiplicity 4)
Mg: 0.000 0.265 0.522 (multiplicity 4)
Mg: 0.160 0.438 0.508 (multiplicity 8)
Mg: 0.169 0.226 0.014 (multiplicity 8)
Sn: 0.000 0.387 0.015 (multiplicity 4)
Sn: 0.176 0.106 0.500 (multiplicity 8)
H: 0.000 0.181 0.960 (multiplicity 4)



Record 5
This entry pairs a crystal structure of SrMgH2 with its calculated powder diffractogram. Radiation: CuKα. Structure: a crystal structure in Alexandria, relaxed with PBE.
Lines closer than 0.1° are merged.

The 10 most intense peaks (2θ = 5–70°), by angle:
19.35 deg, intensity 40, (1 0 1)
29.29 deg, intensity 16, (1 0 3)
29.64 deg, intensity 100, (1 1 2)
30.99 deg, intensity 21, (0 0 4)
35.94 deg, intensity 29, (2 0 0)
41.14 deg, intensity 13, (2 1 1)
48.17 deg, intensity 26, (2 0 4)
54.29 deg, intensity 18, (1 1 6)
60.77 deg, intensity 25, (3 1 2)
61.54 deg, intensity 12, (2 2 4)

Structural model:
Cell lengths 4.998, 4.998, 11.543 Å; angles 90.00, 90.00, 90.00 degrees
Space group I-42d (No. 122)
Symmetry-distinct sites (fractional):
Sr: 0.000 0.000 0.000 (multiplicity 4)
Mg: 0.000 0.000 0.500 (multiplicity 4)
H: 0.170 0.250 0.625 (multiplicity 8)